BaP3: theoretical XRD peak list (Cu Kα (weighted mean of Kα1 and Kα2)), based on DFT lattice parameters and positions (PBE).
No peak broadening, texture or thermal motion is included.

The 6 most intense peaks (15 to 90 degrees two-theta), by intensity:
(hkl)	two_theta	intensity
0 2 1	25.27	100
1 0 -2	23.02	72
2 1 -1	29.61	61
1 2 -3	40.34	40
0 1 3	35.70	39
1 1 2	31.59	38

Cell and atoms:
```
BaP3
1.0
6.5982 0.0000 0.0000
0.0000 7.8592 0.0000
-2.1779 0.0000 7.9673
Ba P
4 12
Cartesian
0.5809 0.8486 2.4204
-0.5081 3.0810 6.4041
4.9283 4.7782 1.5633
3.8394 7.0105 5.5470
0.1302 5.7165 4.3199
1.2192 6.0722 0.3362
1.6463 4.2682 1.4966
0.5573 7.5205 5.4803
2.0807 4.9639 3.5603
0.9917 6.8248 7.5439
3.4285 1.0344 0.4234
2.3396 2.8952 4.4071
3.8629 0.3387 2.4871
2.7739 3.5909 6.4708
3.2011 1.7869 7.6311
4.2900 2.1427 3.6475
```